Record 1
Structure and theoretical powder X-ray diffraction pattern of Sr2Li4Pb3 (a DFT-relaxed cell (GGA-PBE, Alexandria); CuKα).
No peak broadening, texture or thermal motion is included.

Main lines, by angle (10 to 90 degrees two-theta):
2θ (°), d (Å), Rel. int., index
19.86, 4.470, 41, 0 4 0
22.88, 3.887, 47, 1 3 1
25.11, 3.546, 100, 0 2 2
27.87, 3.201, 83, 2 2 0
30.48, 2.933, 48, 1 5 1
34.99, 2.564, 59, 2 0 2
38.14, 2.360, 28, 0 6 2
40.56, 2.224, 44, 2 4 2

Lattice parameters (Å, degrees): 6.8562 17.8799 7.7264 90.00 90.00 90.00
Space group Cmce (No. 64)
Unique sites:
Sr (0.0000, 0.1092, 0.0948) (multiplicity 8)
Li (0.0000, 0.1624, 0.5088) (multiplicity 8)
Li (0.2500, 0.0669, 0.7500) (multiplicity 8)
Pb (0.0000, 0.0000, 0.5000) (multiplicity 4)
Pb (0.2500, 0.2377, 0.7500) (multiplicity 8)

Record 2
Structure and theoretical powder X-ray diffraction pattern of NaScHg2 (a DFT-relaxed cell (GGA-PBE, Alexandria); CuKα).
No peak broadening, texture or thermal motion is included.

Main lines, by angle (10 to 90 degrees two-theta):
2θ (°), d (Å), Rel. int., index
24.35, 3.656, 66, 1 1 0
26.29, 3.389, 28, 0 0 1
34.70, 2.585, 56, 2 0 0
36.14, 2.485, 100, 1 1 1
44.06, 2.055, 29, 2 0 1
49.89, 1.828, 20, 2 2 0
63.14, 1.473, 39, 3 1 1
65.91, 1.417, 17, 2 0 2

Lattice parameters (Å, degrees): 5.1699 5.1699 3.3894 90.00 90.00 90.00
Space group P4/mmm (No. 123)
Unique sites:
Na (0.0000, 0.0000, 0.0000) (multiplicity 1)
Sc (0.5000, 0.5000, 0.0000) (multiplicity 1)
Hg (0.0000, 0.5000, 0.5000) (multiplicity 2)

Record 3
Structure and theoretical powder X-ray diffraction pattern of Th8Ir3Se4N (a DFT-relaxed cell (GGA-PBE, Alexandria); CuKα).
No peak broadening, texture or thermal motion is included.

Main lines, by angle (10 to 90 degrees two-theta):
2θ (°), d (Å), Rel. int., index
12.30, 7.198, 15, 0 0 3
26.60, 3.351, 15, 2 0 2
30.28, 2.951, 100, 0 2 4
42.17, 2.143, 35, 2 0 8
44.52, 2.035, 36, 2 2 0
54.79, 1.675, 19, 4 0 4
73.17, 1.293, 16, 2 4 4
80.38, 1.195, 12, 4 2 8

Lattice parameters (Å, degrees): 8.1400 8.1400 21.5931 90.00 90.00 120.00
Space group R-3m (No. 166, hexagonal axes)
Unique sites:
Th (0.0000, 0.0000, 0.2392) (multiplicity 6)
Th (0.0167, 0.5083, 0.2390) (multiplicity 18)
Ir (0.0000, 0.5000, 0.5000) (multiplicity 9)
Se (0.0000, 0.0000, 0.0000) (multiplicity 3)
Se (0.0000, 0.5000, 0.0000) (multiplicity 9)
N (0.0000, 0.0000, 0.5000) (multiplicity 3)

Record 4
Structure and theoretical powder X-ray diffraction pattern of TmS5Cl (a DFT-relaxed cell (GGA-PBE, Alexandria); CuKα).
No peak broadening, texture or thermal motion is included.

Main lines, by angle (10 to 90 degrees two-theta):
2θ (°), d (Å), Rel. int., index
16.28, 5.445, 100, 0 0 2
21.09, 4.212, 18, 0 1 1
21.64, 4.106, 30, 1 0 0
24.57, 3.623, 48, 1 0 2
25.90, 3.440, 21, 0 1 -2
31.23, 2.864, 25, 0 1 3
31.45, 2.844, 25, 1 1 2
36.00, 2.495, 29, 1 1 -2

Lattice parameters (Å, degrees): 4.1808 4.5241 11.0923 88.66 79.15 89.86
Space group P1 (No. 1)
Unique sites:
Tm (0.0000, 0.0000, 0.0000) (multiplicity 1)
S (0.4352, 0.2557, 0.1293) (multiplicity 1)
S (0.4571, 0.7130, 0.0866) (multiplicity 1)
S (0.6600, 0.4126, 0.5073) (multiplicity 1)
S (0.9168, 0.0716, 0.5753) (multiplicity 1)
S (0.9834, 0.7517, 0.4396) (multiplicity 1)
Cl (0.0701, 0.4868, 0.8616) (multiplicity 1)

Record 5
Structure and theoretical powder X-ray diffraction pattern of ScS5F (a DFT-relaxed cell (GGA-PBE, Alexandria); CuKα).
No peak broadening, texture or thermal motion is included.

Main lines, by angle (10 to 90 degrees two-theta):
2θ (°), d (Å), Rel. int., index
10.29, 8.598, 25, 0 2 0
20.66, 4.299, 28, 0 4 0
22.46, 3.959, 58, 1 1 -1
23.75, 3.746, 100, 1 3 0
38.11, 2.361, 44, 2 4 -1
40.98, 2.203, 22, 1 3 1
42.14, 2.144, 18, 2 4 0
55.35, 1.660, 18, 0 4 2

Lattice parameters (Å, degrees): 5.7648 17.1964 4.1930 90.00 120.87 90.00
Space group C2 (No. 5)
Unique sites:
Sc (0.0000, 0.0000, 0.0000) (multiplicity 2)
S (0.0000, 0.2788, 0.0000) (multiplicity 2)
S (0.1546, 0.3529, 0.7727) (multiplicity 4)
S (0.1688, 0.6027, 0.7640) (multiplicity 4)
F (0.0000, 0.9700, 0.5000) (multiplicity 2)

Record 6
Structure and theoretical powder X-ray diffraction pattern of Tm3Pb4 (a DFT-relaxed cell (GGA-PBE, Alexandria); CuKα).
No peak broadening, texture or thermal motion is included.

Main lines, by angle (10 to 90 degrees two-theta):
2θ (°), d (Å), Rel. int., index
30.83, 2.901, 33, 3 1 0
31.31, 2.857, 100, 1 1 4
32.88, 2.724, 47, 3 1 -2
33.93, 2.642, 14, 0 0 6
38.46, 2.341, 30, 3 1 4
40.89, 2.207, 31, 0 2 0
46.60, 1.949, 16, 4 0 -6
67.31, 1.391, 19, 3 1 -10

Lattice parameters (Å, degrees): 11.5457 4.4136 15.8534 90.00 90.02 90.00
Space group C2/m (No. 12)
Unique sites:
Tm (0.0899, 0.0000, 0.2498) (multiplicity 4)
Tm (0.1560, 0.5000, 0.9024) (multiplicity 4)
Tm (0.1568, 0.5000, 0.5974) (multiplicity 4)
Pb (0.0000, 0.0000, 0.0000) (multiplicity 2)
Pb (0.0000, 0.0000, 0.5000) (multiplicity 2)
Pb (0.1382, 0.5000, 0.3907) (multiplicity 4)
Pb (0.1389, 0.5000, 0.1090) (multiplicity 4)
Pb (0.1732, 0.0000, 0.7499) (multiplicity 4)